Entry 1:
For MnSnIr, a structure optimized by DFT (PBE) gives the theoretical X-ray diffraction stick pattern in this record (a wavelength of 1.5418 Å).
Lines closer than 0.1° are merged.

Top 10 peaks for 2θ = 15–90°, low angle first:
- (1 1 1), d 3.544, I 59
- (2 0 0), d 3.070, I 15
- (2 2 0), d 2.170, I 100
- (3 1 1), d 1.851, I 31
- (2 2 2), d 1.772, I 4
- (4 0 0), d 1.535, I 17
- (3 3 1), d 1.408, I 13
- (4 2 0), d 1.373, I 5
- (4 2 2), d 1.253, I 35
- (5 1 1), d 1.181, I 10

Structure:
a b c (Å): 6.1391 6.1391 6.1391
angles (deg): 90.00 90.00 90.00
Space group F-43m (No. 216)
Unique sites:
Mn  0.0000  0.0000  0.0000 [4 per cell]
Sn  0.2500  0.2500  0.2500 [4 per cell]
Ir  0.0000  0.0000  0.5000 [4 per cell]

---

Entry 2:
For Tb2MgSe4, a structure optimized by DFT (PBE) gives the theoretical X-ray diffraction stick pattern in this record (a wavelength of 1.5418 Å).
Lines closer than 0.1° are merged.

Top 10 peaks for 2θ = 15–90°, low angle first:
- (2 0 0), d 4.301, I 28
- (1 1 2), d 3.607, I 32
- (1 0 3), d 2.821, I 57
- (3 0 1), d 2.731, I 55
- (3 1 0), d 2.720, I 100
- (2 1 3), d 2.359, I 83
- (3 2 1), d 2.306, I 41
- (3 2 3), d 1.864, I 29
- (3 1 4), d 1.729, I 21
- (4 3 1), d 1.689, I 20

Structure:
a b c (Å): 8.6025 8.6025 8.9575
angles (deg): 90.00 90.00 90.00
Space group I-42d (No. 122)
Unique sites:
Tb  0.1318  0.2500  0.1250 [8 per cell]
Mg  0.0000  0.0000  0.5000 [4 per cell]
Se  0.0671  0.1958  0.8110 [16 per cell]

---

Entry 3:
For Cu3Hg2Te6O16, a structure optimized by DFT (PBE) gives the theoretical X-ray diffraction stick pattern in this record (a wavelength of 1.5418 Å).
Lines closer than 0.1° are merged.

Top 10 peaks for 2θ = 15–90°, low angle first:
- (2 0 0), d 4.424, I 21
- (2 0 2), d 3.513, I 28
- (1 1 3), d 3.281, I 18
- (2 1 2), d 3.265, I 100
- (2 2 0), d 3.129, I 29
- (0 0 4), d 2.889, I 21
- (4 0 2), d 2.067, I 28
- (4 1 2), d 2.011, I 25
- (2 1 6), d 1.732, I 18
- (3 3 4), d 1.692, I 18

Structure:
a b c (Å): 8.8488 8.8488 11.5579
angles (deg): 90.00 90.00 90.00
Space group P42_12 (No. 90)
Unique sites:
Cu  0.0000  0.5000  0.0545 [2 per cell]
Cu  0.0000  0.5000  0.3231 [2 per cell]
Cu  0.0000  0.5000  0.6067 [2 per cell]
Hg  0.1051  0.8949  0.5000 [4 per cell]
Te  0.1753  0.8247  0.0000 [4 per cell]
Te  0.2049  0.2183  0.7322 [8 per cell]
O  0.0923  0.6991  0.3230 [8 per cell]
O  0.1126  0.7421  0.8342 [8 per cell]
O  0.1223  0.3157  0.0609 [8 per cell]
O  0.1513  0.6611  0.6030 [8 per cell]

---

Entry 4:
For CeB2Ir2Rh, a structure optimized by DFT (PBE) gives the theoretical X-ray diffraction stick pattern in this record (a wavelength of 1.5418 Å).
Lines closer than 0.1° are merged.

Top 10 peaks for 2θ = 15–90°, low angle first:
- (0 0 1), d 3.134, I 20
- (0 2 1), d 2.621, I 63
- (2 2 0), d 2.391, I 100
- (2 0 1), d 2.072, I 37
- (2 2 1), d 1.901, I 33
- (0 0 2), d 1.566, I 36
- (4 0 0), d 1.381, I 19
- (2 2 2), d 1.311, I 30
- (4 2 1), d 1.222, I 12
- (4 4 0), d 1.196, I 11

Structure:
a b c (Å): 5.5239 9.5641 3.1336
angles (deg): 90.00 90.00 90.00
Space group Cmmm (No. 65)
Unique sites:
Ce  0.0000  0.0000  0.0000 [2 per cell]
B  0.0000  0.3330  0.0000 [4 per cell]
Ir  0.2500  0.2500  0.5000 [4 per cell]
Rh  0.0000  0.5000  0.5000 [2 per cell]

---

Entry 5:
For SrGeP2O8, a structure optimized by DFT (PBE) gives the theoretical X-ray diffraction stick pattern in this record (a wavelength of 1.5418 Å).
Lines closer than 0.1° are merged.

Top 10 peaks for 2θ = 15–90°, low angle first:
- (1 1 -1), d 4.321, I 76
- (2 0 -2), d 4.004, I 69
- (1 1 1), d 3.788, I 25
- (3 1 -1), d 3.690, I 32
- (3 1 1), d 2.865, I 100
- (5 1 -1), d 2.780, I 68
- (0 2 0), d 2.566, I 36
- (3 1 -3), d 2.368, I 67
- (4 2 0), d 2.113, I 27
- (8 2 -4), d 1.432, I 27

Structure:
a b c (Å): 16.5417 5.1322 8.0211
angles (deg): 90.00 115.72 90.00
Space group C2/c (No. 15)
Unique sites:
Sr  0.0000  0.1974  0.2500 [4 per cell]
Ge  0.2500  0.2500  0.5000 [4 per cell]
P  0.1469  0.2574  0.7596 [8 per cell]
O  0.0522  0.2275  0.6068 [8 per cell]
O  0.1508  0.4811  0.3658 [8 per cell]
O  0.1634  0.0246  0.8983 [8 per cell]
O  0.2238  0.2632  0.7015 [8 per cell]